Theoretical powder XRD pattern of PaAl2Os for Cu Kα, 1.54184 Å, from a structure optimized by DFT (PBE).

Structural model:
```
PaAl2Os
1.0
4.207 0.000 0.000
0.000 7.429 0.000
-1.922 0.000 4.778
Pa Al Os
2 4 2
Direct
0.059 0.250 0.142 Pa
0.941 0.750 0.858 Pa
0.367 0.053 0.715 Al
0.367 0.447 0.715 Al
0.633 0.553 0.285 Al
0.633 0.947 0.285 Al
0.191 0.750 0.418 Os
0.809 0.250 0.582 Os
```

Most intense lines, 2θ from 15° to 90°, low angle first:
index, 2θ (°), d/Å, I (rel.)
1 0 0, 22.78, 3.903, 48
0 2 0, 23.96, 3.715, 100
1 2 0, 33.30, 2.691, 61
1 2 -1, 33.77, 2.655, 38
1 1 1, 36.79, 2.443, 58
1 1 -2, 38.07, 2.364, 64
0 1 2, 39.63, 2.274, 61
2 0 -1, 43.03, 2.102, 34